(1)
Structure and computed X-ray diffraction stick pattern of Li3In4F12 (a structure optimized by DFT (GGA-PBE); Cu Kα (weighted mean of Kα1 and Kα2)).

Atomic structure:
```
19
Lattice="6.0552 3.4960 2.0846 -6.0552 3.4960 2.0846 0.0000 -6.9920 2.0846" Properties=species:S:1:pos:R:3 pbc="T T T"
Li -3.0276 -1.7480 2.0846
Li -3.0276 1.7480 4.1692
Li 0.0000 3.4960 2.0846
In -6.0552 0.0000 3.1269
In -3.0276 1.7480 1.0423
In 3.0276 1.7480 1.0423
In 0.0000 0.0000 3.1269
F -3.5197 -3.0947 3.4930
F -4.4400 1.5008 2.7608
F -1.0289 -2.4636 2.5643
F 0.9202 -4.5955 2.7608
F -2.6480 -0.3407 3.6894
F -1.6191 2.1229 2.5643
F 1.6191 -2.1229 3.6894
F 2.6480 0.3407 2.5643
F -0.9202 4.5955 3.4930
F 1.0289 2.4636 3.6894
F 4.4400 -1.5008 3.4930
F 3.5197 3.0947 2.7608
```

Top 10 peaks for 10° ≤ 2θ ≤ 90°, by angle:
d = 4.018 Å, 22.12°, rel. 100
d = 3.028 Å, 29.50°, rel. 44
d = 2.686 Å, 33.36°, rel. 29
d = 2.418 Å, 37.18°, rel. 31
d = 2.009 Å, 45.13°, rel. 23
d = 1.889 Å, 48.16°, rel. 25
d = 1.748 Å, 52.34°, rel. 11
d = 1.717 Å, 53.36°, rel. 18
d = 1.674 Å, 54.84°, rel. 27
d = 1.417 Å, 65.94°, rel. 10

---

(2)
Structure and computed X-ray diffraction stick pattern of LiInPdF6 (a structure optimized by DFT (GGA-PBE); Cu Kα (weighted mean of Kα1 and Kα2)).

Atomic structure:
```
18
Lattice="4.9542 0.0000 0.0000 0.0000 4.9542 0.0000 0.0000 0.0000 9.8940" Properties=species:S:1:pos:R:3 pbc="T T T"
Li 0.0000 0.0000 0.0000
Li 2.4771 2.4771 4.9470
In 0.0000 0.0000 6.5862
In 2.4771 2.4771 1.6391
Pd 0.0000 0.0000 3.2782
Pd 2.4771 2.4771 8.2252
F 0.9307 0.9307 8.2408
F 0.9796 0.9796 1.5629
F 0.9928 0.9928 4.9989
F 1.4843 3.4699 0.0519
F 1.4974 3.4567 6.5099
F 1.5464 3.4078 3.2938
F 3.4078 1.5464 3.2938
F 3.4567 1.4974 6.5099
F 3.4699 1.4843 0.0519
F 3.9614 3.9614 4.9989
F 3.9745 3.9745 1.5629
F 4.0235 4.0235 8.2408
```

Top 10 peaks for 10° ≤ 2θ ≤ 90°, by angle:
d = 4.947 Å, 17.93°, rel. 21
d = 4.430 Å, 20.04°, rel. 65
d = 3.503 Å, 25.43°, rel. 100
d = 2.859 Å, 31.29°, rel. 24
d = 2.745 Å, 32.62°, rel. 63
d = 2.162 Å, 41.78°, rel. 20
d = 1.839 Å, 49.57°, rel. 77
d = 1.751 Å, 52.23°, rel. 24
d = 1.492 Å, 62.20°, rel. 21
d = 1.476 Å, 62.95°, rel. 31

---

(3)
Structure and computed X-ray diffraction stick pattern of LiPuInF6 (a structure optimized by DFT (GGA-PBE); Cu Kα (weighted mean of Kα1 and Kα2)).

Atomic structure:
```
9
Lattice="5.6689 0.0000 0.0000 -2.8345 4.9094 0.0000 0.0000 0.0000 5.9976" Properties=species:S:1:pos:R:3 pbc="T T T"
Li 0.0000 0.0000 0.0000
Pu 2.8345 1.6365 0.0000
In 0.0000 3.2730 2.9988
F 1.7621 0.1573 1.1610
F 1.0173 1.4473 4.8365
F 3.9069 0.1573 4.8365
F 2.0897 3.3048 1.1610
F 4.6517 1.4473 1.1610
F 3.5793 3.3048 4.8365
```

Top 10 peaks for 10° ≤ 2θ ≤ 90°, by angle:
d = 5.998 Å, 14.77°, rel. 13
d = 4.909 Å, 18.07°, rel. 35
d = 3.799 Å, 23.42°, rel. 100
d = 2.834 Å, 31.56°, rel. 22
d = 2.560 Å, 35.05°, rel. 22
d = 2.272 Å, 39.67°, rel. 24
d = 2.060 Å, 43.96°, rel. 32
d = 1.852 Å, 49.21°, rel. 13
d = 1.773 Å, 51.56°, rel. 24
d = 1.360 Å, 69.04°, rel. 12

---

(4)
Structure and computed X-ray diffraction stick pattern of RbLi4In3F12 (a structure optimized by DFT (GGA-PBE); Cu Kα (weighted mean of Kα1 and Kα2)).

Atomic structure:
```
20
Lattice="5.8922 3.4019 2.7291 -5.8922 3.4019 2.7291 0.0000 -6.8038 2.7291" Properties=species:S:1:pos:R:3 pbc="T T T"
Rb 0.0000 0.0000 0.0000
Li -2.5832 -4.4742 4.0936
Li 0.0000 0.0000 4.0936
Li -2.5832 4.4742 4.0936
Li 5.1663 0.0000 4.0936
In -3.2829 -1.1176 2.7291
In -3.2829 1.1176 5.4581
In 0.6735 3.4019 2.7291
F -3.4917 -2.8870 3.9454
F -4.7411 0.0000 4.0936
F -0.7544 -4.4674 4.2418
F -1.8519 0.0000 4.0936
F -3.4917 2.8870 4.2418
F 2.3705 -4.1059 4.0936
F 0.9259 -1.6038 4.0936
F -0.7544 4.4674 3.9454
F 0.9259 1.6038 4.0936
F 4.2461 -1.5804 3.9454
F 2.3705 4.1059 4.0936
F 4.2461 1.5804 4.2418
```

Top 10 peaks for 10° ≤ 2θ ≤ 90°, by angle:
d = 5.892 Å, 15.04°, rel. 52
d = 4.331 Å, 20.51°, rel. 100
d = 3.489 Å, 25.53°, rel. 28
d = 3.193 Å, 27.94°, rel. 68
d = 2.946 Å, 30.34°, rel. 19
d = 2.328 Å, 38.67°, rel. 50
d = 2.002 Å, 45.29°, rel. 20
d = 1.964 Å, 46.22°, rel. 14
d = 1.789 Å, 51.06°, rel. 14
d = 1.659 Å, 55.39°, rel. 15